Starting from a GGA-PBE-relaxed structure, the PXRD pattern of Nd2CuNiSb4 was simulated for CuKα.
Lines closer than 0.1° are merged.

Largest 10 diffraction maxima, in order of rising 2θ, 2θ = 10–80°:
Position (°2θ), I (rel.), index
27.15, 207, 0 0 3
30.03, 156, 1 1 1
34.01, 1000, 1 1 2
40.88, 370, 2 0 0
49.77, 112, 2 0 3
50.78, 126, 1 0 5
54.22, 123, 2 1 3
59.19, 122, 2 2 0
67.14, 108, 2 1 5
70.05, 209, 3 1 2

```
data_Nd2CuNiSb4
_cell_length_a 4.4154
_cell_length_b 4.4154
_cell_length_c 9.8426
_cell_angle_alpha 90.00
_cell_angle_beta 90.00
_cell_angle_gamma 90.00
_symmetry_space_group_name_H-M 'P -4 m 2'
_symmetry_Int_Tables_number 115
loop_
_symmetry_equiv_pos_as_xyz
'x,y,z'
'y,-x,-z'
'-x,-y,z'
'-y,x,-z'
'-x,y,z'
'-y,-x,-z'
'x,-y,z'
'y,x,-z'
loop_
_atom_site_label
_atom_site_type_symbol
_atom_site_fract_x
_atom_site_fract_y
_atom_site_fract_z
Nd1 Nd 0.0000 0.5000 0.2419
Cu1 Cu 0.5000 0.5000 0.0000
Ni1 Ni 0.0000 0.0000 0.0000
Sb1 Sb 0.0000 0.0000 0.5000
Sb2 Sb 0.0000 0.5000 0.8581
Sb3 Sb 0.5000 0.5000 0.5000
```